For Ho2WO6, DFT lattice parameters and positions (PBE+U) gives the simulated X-ray diffraction stick pattern in this record (CuKα).
Kinematic intensities with the Lorentz-polarization factor, no thermal factor.

Most intense lines, 10° ≤ 2θ ≤ 90°, in order of rising 2θ:
two_theta  intensity  hkl
25.8  35  1 2 0
26.5  64  1 1 2
27.4  100  1 2 1
30.7  27  0 3 1
33.4  67  1 1 3
34.1  34  2 0 0
34.5  26  0 3 2
53.9  29  1 5 1

Cell and atoms:
```
data_Ho2WO6
_chemical_formula_sum 'Ho8 W4 O24'
_cell_length_a 5.259
_cell_length_b 9.130
_cell_length_c 9.962
_cell_angle_alpha 90.00
_cell_angle_beta 90.00
_cell_angle_gamma 90.00
_symmetry_space_group_name_H-M 'P 21 21 21'
_symmetry_Int_Tables_number 19
_symmetry_space_group_name_Hall 'P 2ac 2ab'
loop_
_atom_site_label
_atom_site_fract_x
_atom_site_fract_y
_atom_site_fract_z
_atom_site_occupancy
Ho1 0.016 0.104 0.465 1
Ho2 0.041 0.219 0.871 1
W1 0.038 0.496 0.348 1
O1 0.091 0.843 0.032 1
O2 0.175 0.953 0.300 1
O3 0.179 0.637 0.819 1
O4 0.193 0.642 0.236 1
O5 0.234 0.116 0.069 1
O6 0.246 0.589 0.495 1
```